Entry 1:
# CsSr2As2O6
Theoretical X-ray diffraction stick pattern, Cu Ka. Input: a cell relaxed with GGA-PBE.
Neutral-atom scattering factors, no anomalous dispersion.

Cell and atoms:
```
CsSr2As2O6
1.0
6.131 0.000 0.000
1.178 6.087 0.000
2.300 2.659 6.749
Cs Sr As O
1 2 2 6
Direct
0.000 0.000 0.000 Cs
0.297 0.789 0.501 Sr
0.703 0.211 0.499 Sr
0.359 0.346 0.199 As
0.641 0.654 0.801 As
0.104 0.196 0.299 O
0.364 0.491 0.355 O
0.435 0.895 0.739 O
0.565 0.105 0.261 O
0.636 0.509 0.645 O
0.896 0.804 0.701 O
```

Top 12 peaks for 2θ from 10° to 90°, sorted by position:
2θ (°), I_rel
21.0, 49
22.5, 69
23.9, 43
25.1, 100
25.3, 73
27.3, 59
29.4, 46
30.2, 53
34.1, 33
41.0, 31
49.2, 28
50.5, 27

---

Entry 2:
# Tb4Dy11Er9
Theoretical X-ray diffraction stick pattern, Cu Ka. Input: a cell relaxed with GGA-PBE.
Neutral-atom scattering factors, no anomalous dispersion.

Cell and atoms:
```
Tb4Dy11Er9
1.0
8.272 -12.475 0.000
8.272 12.475 0.000
0.000 0.000 3.635
Tb Dy Er
4 11 9
Direct
0.054 0.256 0.000 Tb
0.256 0.054 0.000 Tb
0.744 0.946 0.000 Tb
0.946 0.744 0.000 Tb
0.093 0.455 0.500 Dy
0.133 0.867 0.500 Dy
0.209 0.209 0.500 Dy
0.340 0.660 0.500 Dy
0.455 0.093 0.500 Dy
0.500 0.500 0.500 Dy
0.545 0.907 0.500 Dy
0.660 0.340 0.500 Dy
0.791 0.791 0.500 Dy
0.867 0.133 0.500 Dy
0.907 0.545 0.500 Dy
0.000 0.000 0.000 Er
0.133 0.664 0.000 Er
0.287 0.432 0.000 Er
0.336 0.867 0.000 Er
0.432 0.287 0.000 Er
0.568 0.713 0.000 Er
0.664 0.133 0.000 Er
0.713 0.568 0.000 Er
0.867 0.336 0.000 Er
```

Top 12 peaks for 2θ from 10° to 90°, sorted by position:
2θ (°), I_rel
29.0, 7
30.5, 61
30.9, 7
31.4, 15
32.8, 100
33.3, 8
34.6, 7
50.2, 13
55.7, 7
59.9, 16
61.6, 9
89.6, 7

---

Entry 3:
# Ba3Ag4Ge2
Theoretical X-ray diffraction stick pattern, Cu Ka. Input: a cell relaxed with GGA-PBE.
Neutral-atom scattering factors, no anomalous dispersion.

Cell and atoms:
```
Ba3Ag4Ge2
1.0
6.206 -2.357 0.000
6.206 2.357 0.000
-1.665 0.000 9.259
Ba Ag Ge
3 4 2
Direct
0.000 0.000 0.000 Ba
0.328 0.328 0.336 Ba
0.672 0.672 0.664 Ba
0.055 0.055 0.379 Ag
0.284 0.284 0.933 Ag
0.716 0.716 0.067 Ag
0.945 0.945 0.621 Ag
0.399 0.399 0.716 Ge
0.601 0.601 0.284 Ge
```

Top 12 peaks for 2θ from 10° to 90°, sorted by position:
2θ (°), I_rel
28.9, 100
29.1, 20
38.1, 19
38.2, 20
38.4, 36
48.6, 10
48.8, 13
55.0, 26
55.4, 12
63.4, 8
63.8, 8
69.2, 6